The following is a simulated powder X-ray diffraction pattern of LiNbSn3P6O24. It was derived from the GGA-PBE geometry in Alexandria, using Cu Kα.

Largest 10 diffraction maxima, by angle, 2θ from 5° to 70°:
d (Å), 2θ/deg, I (rel.)
6.244, 14.18, 48.9
4.531, 19.59, 100.0
4.308, 20.62, 75.9
3.748, 23.74, 51.6
3.122, 28.59, 62.9
2.851, 31.38, 63.8
2.528, 35.51, 31.0
2.487, 36.11, 29.1
1.946, 46.68, 31.8
1.774, 51.53, 31.0

Structure:
Cell lengths 9.087, 9.087, 9.087 Å; angles 56.60, 56.60, 56.60 degrees
Sites, in units of the cell vectors:
Li: 0.000 0.000 0.000
Nb: 0.165 0.165 0.165
Sn: 0.375 0.375 0.375
Sn: 0.667 0.667 0.667
Sn: 0.874 0.874 0.874
P: 0.057 0.770 0.484
P: 0.267 0.566 0.988
P: 0.484 0.057 0.770
P: 0.566 0.988 0.267
P: 0.770 0.484 0.057
P: 0.988 0.267 0.566
O: 0.029 0.211 0.408
O: 0.034 0.817 0.636
O: 0.121 0.764 0.922
O: 0.123 0.923 0.290
O: 0.173 0.252 0.550
O: 0.209 0.575 0.495
O: 0.211 0.408 0.029
O: 0.252 0.550 0.173
O: 0.290 0.123 0.923
O: 0.408 0.029 0.211
O: 0.464 0.545 0.836
O: 0.495 0.209 0.575
O: 0.497 0.871 0.790
O: 0.545 0.836 0.464
O: 0.550 0.173 0.252
O: 0.575 0.495 0.209
O: 0.636 0.034 0.817
O: 0.764 0.922 0.121
O: 0.790 0.497 0.871
O: 0.817 0.636 0.034
O: 0.836 0.464 0.545
O: 0.871 0.790 0.497
O: 0.922 0.121 0.764
O: 0.923 0.290 0.123